Structure and calculated powder XRD pattern of Na5Li4Ti5O14 (a DFT-relaxed cell (GGA-PBE, Alexandria); Cu Kα).
Neutral-atom scattering factors, no anomalous dispersion.

Largest 10 diffraction maxima, in order of falling intensity, 2θ = 10–90°:
d = 5.276 Å, 2θ = 16.81°, I = 100, (0 1 -1); d = 2.192 Å, 2θ = 41.18°, I = 91, (1 3 1); d = 2.183 Å, 2θ = 41.36°, I = 89, (1 0 -3); d = 2.165 Å, 2θ = 41.73°, I = 87, (2 -1 2); d = 1.572 Å, 2θ = 58.72°, I = 46, (1 -4 1); d = 1.510 Å, 2θ = 61.41°, I = 45, (0 3 4); d = 5.233 Å, 2θ = 16.94°, I = 25, (0 1 1); d = 1.587 Å, 2θ = 58.13°, I = 24, (2 3 -2); d = 1.505 Å, 2θ = 61.63°, I = 23, (-3 1 1); d = 2.477 Å, 2θ = 36.27°, I = 19, (-1 2 1)

Atomic structure:
```
Na5Li4Ti5O14
1.0
5.219 0.000 0.000
0.958 6.962 0.000
1.689 -0.065 8.009
Na Li Ti O
5 4 5 14
direct
0.000 0.000 0.000
0.138 0.709 0.702
0.408 0.144 0.137
0.563 0.866 0.854
0.849 0.276 0.279
0.056 0.851 0.360
0.265 0.422 0.437
0.353 0.295 0.782
0.712 0.559 0.551
0.199 0.571 0.076
0.496 0.014 0.500
0.620 0.715 0.228
0.777 0.430 0.912
0.924 0.152 0.639
0.085 0.325 0.015
0.179 0.138 0.419
0.234 0.023 0.716
0.321 0.820 0.123
0.423 0.723 0.449
0.456 0.557 0.851
0.520 0.455 0.161
0.600 0.261 0.539
0.696 0.172 0.869
0.709 0.969 0.267
0.798 0.904 0.591
0.885 0.689 0.986
0.954 0.582 0.297
0.985 0.421 0.678
```

***

Structure and calculated powder XRD pattern of Na5Li3Ti5O14 (a DFT-relaxed cell (GGA-PBE, Alexandria); Cu Kα).
Neutral-atom scattering factors, no anomalous dispersion.

Largest 10 diffraction maxima, in order of falling intensity, 2θ = 10–90°:
d = 2.193 Å, 2θ = 41.16°, I = 100, (1 3 1); d = 5.264 Å, 2θ = 16.84°, I = 71, (0 1 -1); d = 2.167 Å, 2θ = 41.69°, I = 49, (2 -1 2); d = 1.574 Å, 2θ = 58.64°, I = 13, (1 -4 1); d = 1.587 Å, 2θ = 58.13°, I = 13, (2 3 -2); d = 1.571 Å, 2θ = 58.78°, I = 13, (1 -1 5); d = 1.510 Å, 2θ = 61.40°, I = 12, (3 2 3); d = 1.514 Å, 2θ = 61.24°, I = 12, (-3 1 1); d = 1.517 Å, 2θ = 61.09°, I = 12, (0 3 4); d = 3.871 Å, 2θ = 22.98°, I = 11, (1 -1 0)

Atomic structure:
```
Na5Li3Ti5O14
1.0
5.232 0.000 0.000
0.934 6.966 0.000
1.654 -0.015 8.028
Na Li Ti O
5 3 5 14
direct
0.000 0.000 0.000
0.146 0.711 0.694
0.396 0.147 0.137
0.564 0.868 0.854
0.849 0.271 0.271
0.283 0.437 0.419
0.352 0.301 0.782
0.734 0.559 0.538
0.185 0.573 0.084
0.507 0.016 0.497
0.611 0.721 0.229
0.774 0.430 0.904
0.940 0.148 0.624
0.088 0.329 0.012
0.182 0.163 0.423
0.238 0.022 0.710
0.330 0.816 0.114
0.447 0.719 0.451
0.463 0.557 0.848
0.512 0.459 0.164
0.613 0.261 0.533
0.686 0.976 0.265
0.701 0.182 0.871
0.795 0.915 0.599
0.887 0.691 0.985
0.954 0.575 0.291
0.985 0.424 0.684
```

***

Structure and calculated powder XRD pattern of NaLiTlO3 (a DFT-relaxed cell (GGA-PBE, Alexandria); Cu Kα).
Neutral-atom scattering factors, no anomalous dispersion.

Largest 10 diffraction maxima, in order of falling intensity, 2θ = 10–90°:
d = 5.489 Å, 2θ = 16.15°, I = 100, (1 0 -1); d = 7.475 Å, 2θ = 11.84°, I = 68, (0 0 1); d = 3.141 Å, 2θ = 28.42°, I = 37, (0 1 1); d = 2.376 Å, 2θ = 37.87°, I = 33, (2 1 -1); d = 2.398 Å, 2θ = 37.51°, I = 33, (2 1 0); d = 3.070 Å, 2θ = 29.08°, I = 31, (1 1 0); d = 6.651 Å, 2θ = 13.31°, I = 27, (1 0 0); d = 2.491 Å, 2θ = 36.05°, I = 26, (0 0 3); d = 2.760 Å, 2θ = 32.44°, I = 20, (1 1 1); d = 2.539 Å, 2θ = 35.35°, I = 20, (0 1 2)

Atomic structure:
```
NaLiTlO3
1.0
6.764 0.000 0.000
0.000 3.461 0.000
-1.383 0.000 7.475
Na Li Tl O
2 2 2 6
direct
0.166 0.250 0.174
0.834 0.750 0.826
0.087 0.250 0.587
0.913 0.750 0.413
0.340 0.750 0.839
0.660 0.250 0.161
0.107 0.250 0.845
0.189 0.750 0.555
0.424 0.750 0.141
0.576 0.250 0.859
0.811 0.250 0.445
0.893 0.750 0.155
```